Entry 1:
Structure and computed XRD peak list of CoP2Se (a crystal structure in Alexandria, relaxed with PBE; copper Kα).
Lines closer than 0.1° are merged.

Crystal structure
Unit cell a=6.6301 b=3.3944 c=5.9241 alpha=90.00 beta=102.72 gamma=90.00
Element x y z (fractional)
Co  0.0000  0.0000  0.0000
Co  0.5000  0.5000  0.0000
P  0.2919  0.0000  0.8614
P  0.4433  0.0000  0.5750
P  0.7919  0.5000  0.8614
P  0.9433  0.5000  0.5750
Se  0.2876  0.5000  0.2781
Se  0.7876  0.0000  0.2781

Principal peaks in the range 15 to 90 degrees two-theta, in order of rising 2θ:
- hkl 0 0 1, 15.33°, 5.779 Å, intensity 32
- hkl 2 0 0, 27.58°, 3.234 Å, intensity 14
- hkl 2 0 -1, 28.51°, 3.131 Å, intensity 14
- hkl 1 1 1, 35.03°, 2.561 Å, intensity 100
- hkl 2 0 -2, 36.87°, 2.438 Å, intensity 31
- hkl 1 1 -2, 41.06°, 2.198 Å, intensity 18
- hkl 2 0 2, 46.54°, 1.952 Å, intensity 16
- hkl 3 1 -1, 49.65°, 1.836 Å, intensity 25
- hkl 1 1 -3, 53.84°, 1.703 Å, intensity 17
- hkl 0 2 0, 54.03°, 1.697 Å, intensity 15

=====

Entry 2:
Structure and computed XRD peak list of CoSi3P3 (a crystal structure in Alexandria, relaxed with PBE; copper Kα).
Lines closer than 0.1° are merged.

Crystal structure
Unit cell a=5.9242 b=5.7217 c=12.7931 alpha=90.00 beta=90.12 gamma=90.00
Element x y z (fractional)
Co  0.0064  0.0000  0.3787
Co  0.4816  0.0685  0.8860
Co  0.5184  0.5685  0.1140
Co  0.9936  0.5000  0.6213
Si  0.0640  0.5377  0.9271
Si  0.0780  0.3675  0.4545
Si  0.1730  0.5057  0.1803
Si  0.3612  0.9502  0.4274
Si  0.3724  0.9706  0.7234
Si  0.4730  0.9373  0.1717
Si  0.5270  0.4373  0.8283
Si  0.6276  0.4706  0.2766
Si  0.6388  0.4502  0.5726
Si  0.8270  0.0057  0.8197
Si  0.9220  0.8675  0.5455
Si  0.9360  0.0377  0.0729
P  0.0253  0.1267  0.6738
P  0.1249  0.1425  0.9266
P  0.1318  0.1109  0.2206
P  0.3462  0.5770  0.6797
P  0.4148  0.6991  0.9509
P  0.4380  0.5514  0.4273
P  0.5620  0.0514  0.5727
P  0.5852  0.1991  0.0491
P  0.6538  0.0770  0.3203
P  0.8682  0.6109  0.7794
P  0.8751  0.6425  0.0734
P  0.9747  0.6267  0.3262

Principal peaks in the range 15 to 90 degrees two-theta, in order of rising 2θ:
- hkl 1 0 -1, 16.49°, 5.376 Å, intensity 44
- hkl 0 1 2, 20.83°, 4.265 Å, intensity 43
- hkl 2 0 0, 30.17°, 2.962 Å, intensity 100
- hkl 0 2 0, 31.27°, 2.861 Å, intensity 94
- hkl 1 0 -4, 31.80°, 2.814 Å, intensity 76
- hkl 1 1 -4, 35.55°, 2.525 Å, intensity 44
- hkl 3 0 3, 50.97°, 1.792 Å, intensity 33
- hkl 1 0 7, 52.39°, 1.746 Å, intensity 31
- hkl 3 1 -3, 53.59°, 1.710 Å, intensity 33
- hkl 1 1 -7, 54.97°, 1.670 Å, intensity 73

=====

Entry 3:
Structure and computed XRD peak list of SrCoP2 (a crystal structure in Alexandria, relaxed with PBE; copper Kα).
Lines closer than 0.1° are merged.

Crystal structure
Unit cell a=3.8065 b=3.8065 c=16.8023 alpha=90.00 beta=90.00 gamma=120.00
Element x y z (fractional)
Sr  0.0000  0.0000  0.0000
Sr  0.3333  0.6667  0.6667
Sr  0.6667  0.3333  0.3333
Co  0.0000  0.0000  0.5000
Co  0.3333  0.6667  0.1667
Co  0.6667  0.3333  0.8333
P  0.0000  0.0000  0.2110
P  0.0000  0.0000  0.7890
P  0.3333  0.6667  0.4557
P  0.3333  0.6667  0.8777
P  0.6667  0.3333  0.1223
P  0.6667  0.3333  0.5443

Principal peaks in the range 15 to 90 degrees two-theta, in order of rising 2θ:
- hkl 0 1 2, 29.10°, 3.069 Å, intensity 42
- hkl 0 0 6, 31.96°, 2.800 Å, intensity 25
- hkl 1 0 4, 34.59°, 2.593 Å, intensity 100
- hkl 0 1 5, 38.25°, 2.353 Å, intensity 15
- hkl 1 1 0, 47.79°, 1.903 Å, intensity 50
- hkl 0 1 8, 51.60°, 1.771 Å, intensity 15
- hkl 1 1 6, 58.65°, 1.574 Å, intensity 25
- hkl 0 2 4, 60.32°, 1.534 Å, intensity 19
- hkl 1 0 10, 61.99°, 1.497 Å, intensity 20
- hkl 2 1 4, 80.39°, 1.195 Å, intensity 16

=====

Entry 4:
Structure and computed XRD peak list of SrCo9P2 (a crystal structure in Alexandria, relaxed with PBE; copper Kα).
Lines closer than 0.1° are merged.

Crystal structure
Unit cell a=7.3644 b=7.3644 c=3.3663 alpha=90.00 beta=90.00 gamma=120.00
Element x y z (fractional)
Sr  0.0000  0.0000  0.0000
Co  0.0000  0.5000  0.0000
Co  0.2111  0.4223  0.5000
Co  0.2111  0.7889  0.5000
Co  0.4223  0.2111  0.5000
Co  0.5000  0.0000  0.0000
Co  0.5000  0.5000  0.0000
Co  0.5777  0.7889  0.5000
Co  0.7889  0.2111  0.5000
Co  0.7889  0.5777  0.5000
P  0.3333  0.6667  0.0000
P  0.6667  0.3333  0.0000

Principal peaks in the range 15 to 90 degrees two-theta, in order of rising 2θ:
- hkl 1 1 1, 36.15°, 2.485 Å, intensity 13
- hkl 2 1 0, 37.30°, 2.411 Å, intensity 33
- hkl 2 0 1, 38.90°, 2.315 Å, intensity 100
- hkl 2 1 1, 46.33°, 1.960 Å, intensity 36
- hkl 2 2 0, 49.51°, 1.841 Å, intensity 29
- hkl 3 0 1, 50.79°, 1.797 Å, intensity 20
- hkl 0 0 2, 54.52°, 1.683 Å, intensity 19
- hkl 2 2 1, 57.01°, 1.615 Å, intensity 11
- hkl 2 2 2, 76.72°, 1.242 Å, intensity 15
- hkl 4 2 1, 85.59°, 1.135 Å, intensity 11

=====

Entry 5:
Structure and computed XRD peak list of TaCo2P (a crystal structure in Alexandria, relaxed with PBE; copper Kα).
Lines closer than 0.1° are merged.

Crystal structure
Unit cell a=13.0490 b=6.3112 c=4.7530 alpha=90.00 beta=90.00 gamma=90.00
Element x y z (fractional)
Ta  0.1091  0.2500  0.2424
Ta  0.1388  0.7500  0.0244
Ta  0.3612  0.2500  0.5244
Ta  0.3909  0.7500  0.7424
Ta  0.6091  0.2500  0.2576
Ta  0.6388  0.7500  0.4756
Ta  0.8612  0.2500  0.9756
Ta  0.8909  0.7500  0.7576
Co  0.0347  0.0506  0.7550
Co  0.0347  0.4494  0.7550
Co  0.2144  0.5512  0.5353
Co  0.2144  0.9488  0.5353
Co  0.2856  0.0512  0.0353
Co  0.2856  0.4488  0.0353
Co  0.4653  0.5506  0.2550
Co  0.4653  0.9494  0.2550
Co  0.5347  0.0506  0.7450
Co  0.5347  0.4494  0.7450
Co  0.7144  0.5512  0.9647
Co  0.7144  0.9488  0.9647
Co  0.7856  0.0512  0.4647
Co  0.7856  0.4488  0.4647
Co  0.9653  0.5506  0.2450
Co  0.9653  0.9494  0.2450
P  0.0697  0.7500  0.5192
P  0.1815  0.2500  0.7583
P  0.3185  0.7500  0.2583
P  0.4303  0.2500  0.0192
P  0.5697  0.7500  0.9808
P  0.6815  0.2500  0.7417
P  0.8185  0.7500  0.2417
P  0.9303  0.2500  0.4808

Principal peaks in the range 15 to 90 degrees two-theta, in order of rising 2θ:
- hkl 0 2 0, 28.28°, 3.156 Å, intensity 21
- hkl 4 1 1, 36.31°, 2.474 Å, intensity 22
- hkl 2 2 1, 36.86°, 2.438 Å, intensity 45
- hkl 4 2 0, 39.74°, 2.268 Å, intensity 78
- hkl 3 2 1, 40.08°, 2.250 Å, intensity 36
- hkl 5 1 1, 42.01°, 2.151 Å, intensity 25
- hkl 2 1 2, 42.96°, 2.105 Å, intensity 100
- hkl 6 0 1, 45.88°, 1.978 Å, intensity 27
- hkl 2 3 2, 60.46°, 1.531 Å, intensity 20
- hkl 6 3 2, 74.36°, 1.276 Å, intensity 22

=====

Entry 6:
Structure and computed XRD peak list of CoTc3P3 (a crystal structure in Alexandria, relaxed with PBE; copper Kα).
Lines closer than 0.1° are merged.

Crystal structure
Unit cell a=10.1766 b=3.6433 c=9.9839 alpha=90.00 beta=90.00 gamma=90.00
Element x y z (fractional)
Co  0.0526  0.2500  0.1668
Co  0.4474  0.7500  0.6668
Co  0.5526  0.2500  0.3332
Co  0.9474  0.7500  0.8332
Tc  0.0487  0.2500  0.6143
Tc  0.1819  0.7500  0.9929
Tc  0.2259  0.7500  0.2740
Tc  0.2741  0.2500  0.7740
Tc  0.3181  0.2500  0.4929
Tc  0.4513  0.7500  0.1143
Tc  0.5487  0.2500  0.8857
Tc  0.6819  0.7500  0.5071
Tc  0.7259  0.7500  0.2260
Tc  0.7741  0.2500  0.7260
Tc  0.8181  0.2500  0.0071
Tc  0.9513  0.7500  0.3857
P  0.0640  0.2500  0.8654
P  0.1117  0.2500  0.3853
P  0.2247  0.7500  0.6244
P  0.2753  0.2500  0.1244
P  0.3883  0.7500  0.8853
P  0.4360  0.7500  0.3654
P  0.5640  0.2500  0.6346
P  0.6117  0.2500  0.1147
P  0.7247  0.7500  0.8756
P  0.7753  0.2500  0.3756
P  0.8883  0.7500  0.6147
P  0.9360  0.7500  0.1346

Principal peaks in the range 15 to 90 degrees two-theta, in order of rising 2θ:
- hkl 0 1 1, 26.03°, 3.423 Å, intensity 23
- hkl 1 1 1, 27.50°, 3.244 Å, intensity 29
- hkl 1 1 2, 31.65°, 2.827 Å, intensity 34
- hkl 1 1 3, 37.66°, 2.389 Å, intensity 55
- hkl 2 0 4, 40.24°, 2.241 Å, intensity 55
- hkl 2 1 3, 40.78°, 2.213 Å, intensity 65
- hkl 4 1 0, 43.38°, 2.086 Å, intensity 100
- hkl 2 1 4, 47.64°, 1.909 Å, intensity 51
- hkl 0 2 0, 50.07°, 1.822 Å, intensity 49
- hkl 2 2 4, 66.10°, 1.413 Å, intensity 25

=====

Entry 7:
Structure and computed XRD peak list of Th2Co4TcP3 (a crystal structure in Alexandria, relaxed with PBE; copper Kα).
Lines closer than 0.1° are merged.

Crystal structure
Unit cell a=4.0009 b=4.0009 c=9.5354 alpha=90.00 beta=90.00 gamma=90.00
Element x y z (fractional)
Th  0.0000  0.5000  0.2380
Th  0.5000  0.0000  0.7620
Co  0.0000  0.0000  0.0000
Co  0.0000  0.5000  0.6259
Co  0.5000  0.0000  0.3741
Co  0.5000  0.5000  0.0000
Tc  0.0000  0.0000  0.5000
P  0.0000  0.5000  0.8741
P  0.5000  0.0000  0.1259
P  0.5000  0.5000  0.5000

Principal peaks in the range 15 to 90 degrees two-theta, in order of rising 2θ:
- hkl 1 0 1, 24.12°, 3.689 Å, intensity 60
- hkl 1 1 0, 31.63°, 2.829 Å, intensity 22
- hkl 1 0 3, 36.09°, 2.489 Å, intensity 70
- hkl 1 1 2, 36.95°, 2.433 Å, intensity 100
- hkl 2 0 0, 45.33°, 2.000 Å, intensity 45
- hkl 2 1 1, 52.00°, 1.759 Å, intensity 17
- hkl 1 0 5, 53.21°, 1.722 Å, intensity 22
- hkl 2 1 3, 59.27°, 1.559 Å, intensity 34
- hkl 2 1 5, 72.43°, 1.305 Å, intensity 18
- hkl 3 1 2, 78.16°, 1.223 Å, intensity 23

=====

Entry 8:
Structure and computed XRD peak list of ThCoTcP2 (a crystal structure in Alexandria, relaxed with PBE; copper Kα).
Lines closer than 0.1° are merged.

Crystal structure
Unit cell a=3.9250 b=3.9250 c=10.7160 alpha=90.00 beta=90.00 gamma=90.00
Element x y z (fractional)
Th  0.0000  0.0000  0.0000
Th  0.5000  0.5000  0.5000
Co  0.0000  0.5000  0.7500
Co  0.5000  0.0000  0.2500
Tc  0.0000  0.5000  0.2500
Tc  0.5000  0.0000  0.7500
P  0.0000  0.0000  0.3616
P  0.0000  0.0000  0.6384
P  0.5000  0.5000  0.1384
P  0.5000  0.5000  0.8616

Principal peaks in the range 15 to 90 degrees two-theta, in order of rising 2θ:
- hkl 1 0 1, 24.15°, 3.686 Å, intensity 69
- hkl 0 0 4, 33.45°, 2.679 Å, intensity 24
- hkl 1 0 3, 33.93°, 2.642 Å, intensity 67
- hkl 1 1 2, 36.46°, 2.464 Å, intensity 100
- hkl 2 0 0, 46.26°, 1.962 Å, intensity 36
- hkl 1 0 5, 48.39°, 1.881 Å, intensity 20
- hkl 2 0 4, 58.28°, 1.583 Å, intensity 20
- hkl 2 1 3, 58.60°, 1.575 Å, intensity 28
- hkl 1 1 6, 61.77°, 1.502 Å, intensity 26
- hkl 3 1 2, 79.22°, 1.209 Å, intensity 21